Entry 1:
This entry pairs a crystal structure of NaSmMgTe3 with its theoretical PXRD pattern. Radiation: Cu Ka. Structure: a DFT-relaxed cell (GGA-PBE, OQMD).

```
NaSmMgTe3
1.0
8.930 0.000 0.000
0.000 4.503 0.000
-2.616 0.000 10.297
Na Sm Mg Te
2 2 2 6
direct
0.196 0.250 0.203
0.804 0.750 0.797
0.326 0.750 0.859
0.674 0.250 0.141
0.082 0.250 0.605
0.918 0.750 0.395
0.080 0.250 0.864
0.234 0.750 0.538
0.438 0.750 0.162
0.562 0.250 0.838
0.766 0.250 0.462
0.920 0.750 0.136
```

Top 10 peaks for 10° ≤ 2θ ≤ 90°, in order of falling intensity:
2theta	I (rel.)
28.4	1000
26.0	664
11.6	657
41.3	516
28.6	515
22.2	460
36.2	334
40.0	318
42.5	304
32.4	303

Entry 2:
This entry pairs a crystal structure of PrInTe3Pb with its theoretical PXRD pattern. Radiation: Cu Ka. Structure: a DFT-relaxed cell (GGA-PBE, OQMD).

```
PrInTe3Pb
1.0
2.275 -7.649 0.000
2.275 7.649 0.000
0.000 0.000 11.140
Pr In Te Pb
2 2 6 2
direct
0.000 0.000 0.000
0.000 0.000 0.500
0.478 0.522 0.750
0.522 0.478 0.250
0.116 0.884 0.750
0.350 0.650 0.541
0.350 0.650 0.959
0.650 0.350 0.041
0.650 0.350 0.459
0.884 0.116 0.250
0.224 0.776 0.250
0.776 0.224 0.750
```

Top 10 peaks for 10° ≤ 2θ ≤ 90°, in order of falling intensity:
2theta	I (rel.)
30.8	1000
27.5	418
32.1	296
39.6	228
51.9	153
31.6	141
35.8	130
43.0	122
48.9	116
66.5	109

Entry 3:
This entry pairs a crystal structure of NpSbBr6 with its theoretical PXRD pattern. Radiation: Cu Ka. Structure: a DFT-relaxed cell (GGA-PBE, OQMD).

```
NpSbBr6
1.0
3.700 -6.295 0.000
3.700 6.295 0.000
-2.475 0.000 6.676
Np Sb Br
1 1 6
direct
0.000 0.000 0.000
0.667 0.333 0.000
0.063 0.400 0.242
0.260 0.235 0.760
0.424 0.109 0.241
0.600 0.937 0.758
0.765 0.740 0.240
0.891 0.576 0.759
```

Top 10 peaks for 10° ≤ 2θ ≤ 90°, in order of falling intensity:
2theta	I (rel.)
30.3	1000
13.3	688
30.0	490
42.5	400
14.6	370
43.8	339
24.8	280
16.5	273
14.1	217
43.1	192

Entry 4:
This entry pairs a crystal structure of DySiGeW4 with its theoretical PXRD pattern. Radiation: Cu Ka. Structure: a DFT-relaxed cell (GGA-PBE, OQMD).

```
DySiGeW4
1.0
3.427 0.000 0.000
0.000 2.178 8.097
0.000 -2.178 8.097
Dy Si Ge W
1 1 1 4
direct
0.000 0.000 0.000
0.500 0.426 0.426
0.500 0.575 0.575
0.000 0.315 0.315
0.000 0.692 0.692
0.500 0.179 0.179
0.500 0.828 0.828
```

Top 10 peaks for 10° ≤ 2θ ≤ 90°, in order of falling intensity:
2theta	I (rel.)
37.3	1000
10.9	367
41.5	241
43.7	219
33.2	192
72.9	144
53.5	115
69.8	104
54.1	98
62.0	90